No. 1
Structure and simulated PXRD pattern of SmTl3B2O6 (a structure optimized by DFT (GGA-PBE); Cu Kα (weighted mean of Kα1 and Kα2)).

The 12 most intense peaks (15 to 90 degrees two-theta), by angle:
hkl, 2theta, I/Imax
1 0 1, 21.83, 52
1 0 2, 30.06, 100
1 1 0, 32.05, 71
0 2 1, 39.12, 24
0 1 3, 40.46, 12
0 2 2, 44.52, 35
1 2 1, 51.43, 14
0 1 4, 52.10, 12
2 1 2, 55.90, 31
3 0 0, 57.13, 14
1 1 4, 59.16, 15
1 3 2, 75.18, 15

Crystal structure
```
SmTl3B2O6
1.0
5.5853 0.0000 0.0000
-2.7926 4.8370 0.0000
0.0000 0.0000 7.5357
Sm Tl B O
1 3 2 6
direct
0.0000 0.0000 0.0000
0.0000 0.0000 0.5000
0.3333 0.6667 0.2905
0.6667 0.3333 0.7095
0.3333 0.6667 0.8090
0.6667 0.3333 0.1910
0.1896 0.3792 0.8088
0.1896 0.8104 0.8088
0.3792 0.1896 0.1912
0.6208 0.8104 0.8088
0.8104 0.1896 0.1912
0.8104 0.6208 0.1912
```

No. 2
Structure and simulated PXRD pattern of CaNdAlCd (a structure optimized by DFT (GGA-PBE); Cu Kα (weighted mean of Kα1 and Kα2)).

The 12 most intense peaks (15 to 90 degrees two-theta), by angle:
hkl, 2theta, I/Imax
1 0 1, 26.60, 36
1 0 2, 33.13, 100
1 1 0, 34.29, 46
1 1 1, 36.17, 11
0 0 4, 45.80, 9
1 1 3, 49.01, 9
2 0 0, 49.27, 16
2 1 1, 56.86, 9
1 1 4, 58.44, 18
2 1 2, 60.67, 33
2 0 4, 69.53, 10
1 0 6, 76.60, 7

Crystal structure
```
CaNdAlCd
1.0
3.6986 0.0000 0.0000
0.0000 3.6986 0.0000
0.0000 0.0000 7.9251
Ca Nd Al Cd
1 1 1 1
direct
0.0000 0.0000 0.0000
0.0000 0.0000 0.5217
0.5000 0.5000 0.7599
0.5000 0.5000 0.2520
```